# 1
Starting from a PBE-relaxed structure, the X-ray powder pattern of HoSnAu was calculated for Cu Kα, 1.54184 Å.
Lines closer than 0.1° are merged.

Most intense lines, 10 to 80 degrees two-theta, low angle first:
- (0 0 2), d = 3.705 Å, 24.02 deg, intensity 9
- (1 0 1), d = 3.560 Å, 25.01 deg, intensity 28
- (1 0 2), d = 2.736 Å, 32.73 deg, intensity 100
- (1 1 0), d = 2.343 Å, 38.41 deg, intensity 95
- (1 0 3), d = 2.110 Å, 42.86 deg, intensity 32
- (1 1 2), d = 1.980 Å, 45.82 deg, intensity 10
- (2 0 2), d = 1.780 Å, 51.33 deg, intensity 29
- (2 0 3), d = 1.568 Å, 58.90 deg, intensity 13
- (2 1 2), d = 1.417 Å, 65.90 deg, intensity 27
- (1 0 5), d = 1.392 Å, 67.26 deg, intensity 13
- (3 0 0), d = 1.353 Å, 69.47 deg, intensity 17
- (2 1 3), d = 1.303 Å, 72.54 deg, intensity 14

Cell and atoms:
Unit cell a=4.6869 b=4.6869 c=7.4096 alpha=90.00 beta=90.00 gamma=120.00
Space group P6_3mc (No. 186)
One atom of each set of equivalent atoms:
Ho: 0.0000 0.0000 0.0000
Sn: 0.3333 0.6667 0.2260
Au: 0.3333 0.6667 0.8287

---

# 2
Starting from a PBE-relaxed structure, the X-ray powder pattern of HoSnTe3Au was calculated for Cu Kα, 1.54184 Å.
Lines closer than 0.1° are merged.

Most intense lines, 10 to 80 degrees two-theta, low angle first:
- (0 0 2), d = 6.114 Å, 14.49 deg, intensity 59
- (2 0 3), d = 3.474 Å, 25.64 deg, intensity 28
- (2 1 2), d = 3.165 Å, 28.20 deg, intensity 57
- (3 1 1), d = 3.042 Å, 29.36 deg, intensity 57
- (1 0 4), d = 2.979 Å, 29.99 deg, intensity 60
- (3 1 2), d = 2.794 Å, 32.03 deg, intensity 86
- (2 1 3), d = 2.739 Å, 32.70 deg, intensity 100
- (4 1 0), d = 2.664 Å, 33.64 deg, intensity 32
- (4 1 2), d = 2.442 Å, 36.81 deg, intensity 37
- (0 2 0), d = 2.225 Å, 40.55 deg, intensity 60
- (3 1 4), d = 2.191 Å, 41.21 deg, intensity 31
- (1 2 4), d = 1.783 Å, 51.25 deg, intensity 27

Cell and atoms:
Unit cell a=13.306 b=4.449 c=12.228 alpha=90.00 beta=90.00 gamma=90.00
Space group Pnma (No. 62)
One atom of each set of equivalent atoms:
Ho: 0.018 0.250 0.194
Sn: 0.238 0.250 0.419
Te: 0.033 0.750 0.366
Te: 0.098 0.250 0.950
Te: 0.196 0.750 0.678
Au: 0.193 0.750 0.228